[1]
Diffraction record for Pm8Nd4Dy. The X-ray powder pattern is computed, not measured: it uses a GGA-PBE-relaxed structure and Cu Kα, 1.54184 Å.
Neutral-atom scattering factors, no anomalous dispersion.

Most intense lines, 2θ from 10° to 80°, by angle:
- 2θ 31.73, I = 100
- 2θ 32.18, I = 94
- 2θ 45.81, I = 35
- 2θ 56.51, I = 19
- 2θ 56.80, I = 36
- 2θ 57.65, I = 16

Atomic structure:
a = 7.924 Å, b = 7.924 Å, c = 7.924 Å
α = 90.78°, β = 90.78°, γ = 90.78°
Positions (direct):
Pm 0.236 0.236 0.754
Pm 0.236 0.754 0.236
Pm 0.238 0.238 0.238
Pm 0.246 0.764 0.764
Pm 0.754 0.236 0.236
Pm 0.762 0.762 0.762
Pm 0.764 0.246 0.764
Pm 0.764 0.764 0.246
Nd 0.000 0.000 0.000
Nd 0.000 0.500 0.500
Nd 0.500 0.000 0.500
Nd 0.500 0.500 0.000
Dy 0.500 0.500 0.500

=====

[2]
Diffraction record for MoPdCl6. The X-ray powder pattern is computed, not measured: it uses a GGA-PBE-relaxed structure and Cu Kα, 1.54184 Å.
Neutral-atom scattering factors, no anomalous dispersion.

Most intense lines, 2θ from 10° to 80°, by angle:
- 2θ 19.73, I = 100
- 2θ 27.03, I = 40
- 2θ 33.22, I = 39
- 2θ 43.71, I = 50
- 2θ 46.34, I = 19
- 2θ 51.43, I = 26

Atomic structure:
a = 6.633 Å, b = 6.633 Å, c = 6.633 Å
α = 55.29°, β = 55.29°, γ = 55.29°
Positions (direct):
Mo 0.000 0.000 0.000
Pd 0.500 0.500 0.500
Cl 0.079 0.396 0.768
Cl 0.232 0.921 0.604
Cl 0.396 0.768 0.079
Cl 0.604 0.232 0.921
Cl 0.768 0.079 0.396
Cl 0.921 0.604 0.232

=====

[3]
Diffraction record for MgNiOs2. The X-ray powder pattern is computed, not measured: it uses a GGA-PBE-relaxed structure and Cu Kα, 1.54184 Å.
Neutral-atom scattering factors, no anomalous dispersion.

Most intense lines, 2θ from 10° to 80°, by angle:
- 2θ 19.03, I = 95
- 2θ 34.52, I = 28
- 2θ 40.51, I = 100
- 2θ 40.90, I = 93
- 2θ 47.62, I = 63
- 2θ 69.02, I = 34

Atomic structure:
a = 4.667 Å, b = 4.667 Å, c = 4.720 Å
α = 98.56°, β = 98.56°, γ = 33.87°
Positions (direct):
Mg 0.000 0.000 0.000
Ni 0.248 0.248 0.809
Os 0.509 0.509 0.504
Os 0.764 0.764 0.324

=====

[4]
Diffraction record for CeTm2Pb5. The X-ray powder pattern is computed, not measured: it uses a GGA-PBE-relaxed structure and Cu Kα, 1.54184 Å.
Neutral-atom scattering factors, no anomalous dispersion.

Most intense lines, 2θ from 10° to 80°, by angle:
- 2θ 31.41, I = 60
- 2θ 33.61, I = 100
- 2θ 45.02, I = 23
- 2θ 57.34, I = 44
- 2θ 61.45, I = 18
- 2θ 70.65, I = 12

Atomic structure:
a = 6.716 Å, b = 6.716 Å, c = 6.716 Å
α = 106.30°, β = 106.30°, γ = 116.01°
Positions (direct):
Ce 0.000 0.000 0.000
Tm 0.000 0.500 0.500
Tm 0.500 0.000 0.500
Pb 0.000 0.000 0.500
Pb 0.000 0.500 0.000
Pb 0.500 0.000 0.000
Pb 0.500 0.500 0.000
Pb 0.500 0.500 0.500

=====

[5]
Diffraction record for CsSrAgI4. The X-ray powder pattern is computed, not measured: it uses a GGA-PBE-relaxed structure and Cu Kα, 1.54184 Å.
Neutral-atom scattering factors, no anomalous dispersion.

Most intense lines, 2θ from 10° to 80°, by angle:
- 2θ 24.61, I = 51
- 2θ 25.00, I = 35
- 2θ 27.22, I = 100
- 2θ 27.93, I = 42
- 2θ 41.16, I = 30
- 2θ 43.33, I = 34

Atomic structure:
a = 7.701 Å, b = 8.351 Å, c = 10.558 Å
α = 90.00°, β = 109.95°, γ = 90.00°
Positions (direct):
Cs 0.222 0.250 0.048
Cs 0.778 0.750 0.952
Sr 0.226 0.250 0.556
Sr 0.774 0.750 0.444
Ag 0.222 0.750 0.326
Ag 0.778 0.250 0.674
I 0.032 0.512 0.710
I 0.032 0.988 0.710
I 0.421 0.750 0.146
I 0.470 0.750 0.594
I 0.530 0.250 0.406
I 0.579 0.250 0.854
I 0.968 0.012 0.290
I 0.968 0.488 0.290

=====

[6]
Diffraction record for K12Ag. The X-ray powder pattern is computed, not measured: it uses a GGA-PBE-relaxed structure and Cu Kα, 1.54184 Å.
Neutral-atom scattering factors, no anomalous dispersion.

Most intense lines, 2θ from 10° to 80°, by angle:
- 2θ 10.56, I = 48
- 2θ 23.75, I = 100
- 2θ 26.05, I = 40
- 2θ 28.18, I = 98
- 2θ 44.60, I = 34
- 2θ 47.30, I = 37

Atomic structure:
a = 10.260 Å, b = 10.260 Å, c = 10.260 Å
α = 109.47°, β = 109.47°, γ = 109.47°
Positions (direct):
K 0.130 0.826 0.304
K 0.174 0.304 0.477
K 0.174 0.696 0.870
K 0.304 0.130 0.826
K 0.304 0.477 0.174
K 0.477 0.174 0.304
K 0.523 0.826 0.696
K 0.696 0.523 0.826
K 0.696 0.870 0.174
K 0.826 0.304 0.130
K 0.826 0.696 0.523
K 0.870 0.174 0.696
Ag 0.000 0.000 0.000

=====

[7]
Diffraction record for LiCrAs. The X-ray powder pattern is computed, not measured: it uses a GGA-PBE-relaxed structure and Cu Kα, 1.54184 Å.
Neutral-atom scattering factors, no anomalous dispersion.

Most intense lines, 2θ from 10° to 80°, by angle:
- 2θ 13.33, I = 61
- 2θ 13.74, I = 100
- 2θ 14.85, I = 56
- 2θ 25.41, I = 68
- 2θ 43.27, I = 83
- 2θ 50.82, I = 37

Atomic structure:
a = 7.029 Å, b = 4.186 Å, c = 7.244 Å
α = 90.00°, β = 113.55°, γ = 90.00°
Positions (direct):
Li 0.000 0.000 0.000
Li 0.000 0.051 0.500
Li 0.280 0.499 0.948
Li 0.720 0.499 0.052
Cr 0.352 0.000 0.386
Cr 0.457 0.499 0.622
Cr 0.543 0.499 0.378
Cr 0.648 0.000 0.614
As 0.144 0.501 0.269
As 0.396 0.999 0.778
As 0.604 0.999 0.222
As 0.856 0.501 0.731

=====

[8]
Diffraction record for InP2H9N2O8. The X-ray powder pattern is computed, not measured: it uses a GGA-PBE-relaxed structure and Cu Kα, 1.54184 Å.
Neutral-atom scattering factors, no anomalous dispersion.

Most intense lines, 2θ from 10° to 80°, by angle:
- 2θ 14.06, I = 100
- 2θ 19.76, I = 31
- 2θ 26.51, I = 55
- 2θ 28.14, I = 48
- 2θ 29.05, I = 30
- 2θ 33.28, I = 18

Atomic structure:
a = 10.079 Å, b = 10.079 Å, c = 6.746 Å
α = 107.76°, β = 107.76°, γ = 126.24°
Positions (direct):
In 0.124 0.876 0.500
In 0.876 0.124 0.000
P 0.131 0.981 0.042
P 0.312 0.661 0.537
P 0.661 0.312 0.037
P 0.981 0.131 0.542
H 0.007 0.640 0.935
H 0.063 0.537 0.779
H 0.242 0.502 0.727
H 0.401 0.896 0.342
H 0.416 0.513 0.086
H 0.425 0.825 0.100
H 0.453 0.480 0.767
H 0.480 0.453 0.267
H 0.502 0.242 0.227
H 0.513 0.416 0.586
H 0.537 0.063 0.279
H 0.539 0.668 0.422
H 0.640 0.007 0.435
H 0.668 0.539 0.922
H 0.681 0.682 0.827
H 0.682 0.681 0.327
H 0.825 0.425 0.600
H 0.896 0.401 0.842
N 0.499 0.946 0.291
N 0.533 0.582 0.277
N 0.582 0.533 0.777
N 0.946 0.499 0.791
O 0.093 0.852 0.790
O 0.119 0.875 0.174
O 0.188 0.446 0.289
O 0.218 0.359 0.738
O 0.253 0.760 0.472
O 0.269 0.628 0.737
O 0.359 0.218 0.238
O 0.446 0.188 0.789
O 0.549 0.805 0.674
O 0.628 0.269 0.237
O 0.760 0.253 0.972
O 0.805 0.549 0.174
O 0.852 0.093 0.290
O 0.875 0.119 0.674
O 0.960 0.966 0.968
O 0.966 0.960 0.468

=====

[9]
Diffraction record for Pm6TmIn6. The X-ray powder pattern is computed, not measured: it uses a GGA-PBE-relaxed structure and Cu Kα, 1.54184 Å.
Neutral-atom scattering factors, no anomalous dispersion.

Most intense lines, 2θ from 10° to 80°, by angle:
- 2θ 28.01, I = 45
- 2θ 29.25, I = 28
- 2θ 32.47, I = 100
- 2θ 32.58, I = 27
- 2θ 36.45, I = 82
- 2θ 58.07, I = 29

Atomic structure:
a = 6.372 Å, b = 6.372 Å, c = 10.994 Å
α = 90.00°, β = 90.00°, γ = 120.00°
Positions (direct):
Pm 0.000 0.000 0.169
Pm 0.000 0.000 0.831
Pm 0.333 0.667 0.000
Pm 0.333 0.667 0.500
Pm 0.667 0.333 0.000
Pm 0.667 0.333 0.500
Tm 0.000 0.000 0.500
In 0.000 0.500 0.253
In 0.000 0.500 0.747
In 0.500 0.000 0.253
In 0.500 0.000 0.747
In 0.500 0.500 0.253
In 0.500 0.500 0.747

=====

[10]
Diffraction record for Ac2Zn6CoAg. The X-ray powder pattern is computed, not measured: it uses a GGA-PBE-relaxed structure and Cu Kα, 1.54184 Å.
Neutral-atom scattering factors, no anomalous dispersion.

Most intense lines, 2θ from 10° to 80°, by angle:
- 2θ 26.22, I = 100
- 2θ 32.26, I = 84
- 2θ 37.39, I = 64
- 2θ 37.49, I = 32
- 2θ 46.26, I = 36
- 2θ 53.94, I = 54

Atomic structure:
a = 6.794 Å, b = 6.794 Å, c = 6.785 Å
α = 119.88°, β = 119.88°, γ = 90.15°
Positions (direct):
Ac 0.250 0.750 0.000
Ac 0.750 0.250 0.000
Zn 0.239 0.239 0.500
Zn 0.239 0.239 0.978
Zn 0.239 0.761 0.500
Zn 0.761 0.239 0.500
Zn 0.761 0.761 0.022
Zn 0.761 0.761 0.500
Co 0.000 0.000 0.500
Ag 0.500 0.500 0.500